Record 1
Starting from the GGA+U geometry in the Materials Project, the PXRD pattern of RbW3O9 was computed for λ = 1.5418 Å (Cu Kα).
No peak broadening, texture or thermal motion is included.

Crystal structure
abc: 7.5301 7.5301 3.8830
angles: 90.00 90.00 120.00
Atoms (fractional coordinates):
Rb 0.0000 0.0000 0.0000
W 0.0000 0.5000 0.5000
W 0.5000 0.0000 0.5000
W 0.5000 0.5000 0.5000
O 0.0000 0.5000 0.0000
O 0.2103 0.4205 0.5000
O 0.2103 0.7897 0.5000
O 0.4205 0.2103 0.5000
O 0.5000 0.0000 0.0000
O 0.5000 0.5000 0.0000
O 0.5795 0.7897 0.5000
O 0.7897 0.2103 0.5000
O 0.7897 0.5795 0.5000

Peak list (6 most intense, 10 to 90 degrees two-theta, low angle first)
d = 3.883 Å, 22.9°, rel. 33; d = 3.336 Å, 26.7°, rel. 36; d = 3.261 Å, 27.4°, rel. 100; d = 2.497 Å, 36.0°, rel. 32; d = 1.883 Å, 48.3°, rel. 25; d = 1.668 Å, 55.1°, rel. 29

Record 2
Starting from the GGA+U geometry in the Materials Project, the PXRD pattern of MoH2C2O4 was computed for λ = 1.5418 Å (Cu Kα).
No peak broadening, texture or thermal motion is included.

Crystal structure
abc: 5.6369 11.5240 8.1383
angles: 90.00 110.69 90.00
Atoms (fractional coordinates):
Mo 0.1550 0.0483 0.4889
Mo 0.1550 0.4517 0.9889
Mo 0.8450 0.5483 0.0111
Mo 0.8450 0.9517 0.5111
H 0.2346 0.0610 0.9961
H 0.2346 0.4390 0.4961
H 0.3973 0.7190 0.5942
H 0.3973 0.7810 0.0942
H 0.6027 0.2190 0.9058
H 0.6027 0.2810 0.4058
H 0.7654 0.5610 0.5039
H 0.7654 0.9390 0.0039
C 0.1703 0.0434 0.8543
C 0.1703 0.4566 0.3543
C 0.2820 0.7014 0.0639
C 0.2820 0.7986 0.5639
C 0.7180 0.2014 0.4361
C 0.7180 0.2986 0.9361
C 0.8297 0.5434 0.6457
C 0.8297 0.9566 0.1457
O 0.0308 0.0172 0.2138
O 0.0308 0.4828 0.7138
O 0.0540 0.7058 0.0602
O 0.0540 0.7942 0.5602
O 0.2982 0.0841 0.7643
O 0.2982 0.4159 0.2643
O 0.3840 0.6066 0.0363
O 0.3840 0.8934 0.5363
O 0.6160 0.1066 0.4637
O 0.6160 0.3934 0.9637
O 0.7018 0.5841 0.7357
O 0.7018 0.9159 0.2357
O 0.9460 0.2058 0.4398
O 0.9460 0.2942 0.9398
O 0.9692 0.5172 0.2862
O 0.9692 0.9828 0.7862

Peak list (6 most intense, 10 to 90 degrees two-theta, low angle first)
d = 6.352 Å, 13.9°, rel. 100; d = 5.762 Å, 15.4°, rel. 37; d = 5.273 Å, 16.8°, rel. 18; d = 4.814 Å, 18.4°, rel. 18; d = 3.105 Å, 28.8°, rel. 15; d = 2.531 Å, 35.5°, rel. 16

Record 3
Starting from the GGA+U geometry in the Materials Project, the PXRD pattern of AlBiW2O8 was computed for λ = 1.5418 Å (Cu Kα).
No peak broadening, texture or thermal motion is included.

Crystal structure
abc: 5.1371 6.2997 10.7221
angles: 90.00 115.10 90.00
Atoms (fractional coordinates):
Al 0.0000 0.2164 0.2500
Al 0.0000 0.7836 0.7500
Bi 0.5000 0.3731 0.7500
Bi 0.5000 0.6269 0.2500
W 0.2575 0.1517 0.0123
W 0.2575 0.8483 0.5123
W 0.7425 0.1517 0.4877
W 0.7425 0.8483 0.9877
O 0.1759 0.1142 0.6007
O 0.1759 0.8858 0.1007
O 0.1893 0.3289 0.1567
O 0.1893 0.6711 0.6567
O 0.2840 0.3678 0.9035
O 0.2840 0.6322 0.4035
O 0.3086 0.0798 0.3811
O 0.3086 0.9202 0.8811
O 0.6914 0.0798 0.1189
O 0.6914 0.9202 0.6189
O 0.7160 0.3678 0.5965
O 0.7160 0.6322 0.0965
O 0.8107 0.3289 0.3433
O 0.8107 0.6711 0.8433
O 0.8241 0.1142 0.8993
O 0.8241 0.8858 0.3993

Peak list (6 most intense, 10 to 90 degrees two-theta, low angle first)
d = 3.845 Å, 23.1°, rel. 86; d = 3.150 Å, 28.3°, rel. 100; d = 3.008 Å, 29.7°, rel. 76; d = 2.684 Å, 33.4°, rel. 63; d = 2.565 Å, 35.0°, rel. 41; d = 1.928 Å, 47.1°, rel. 34

Record 4
Starting from the GGA+U geometry in the Materials Project, the PXRD pattern of Ba2V3O8 was computed for λ = 1.5418 Å (Cu Kα).
No peak broadening, texture or thermal motion is included.

Crystal structure
abc: 3.8830 3.8830 12.1658
angles: 90.00 90.00 90.00
Atoms (fractional coordinates):
Ba 0.0000 0.0000 0.1765
Ba 0.0000 0.0000 0.8235
V 0.5000 0.5000 0.0000
V 0.5000 0.5000 0.3338
V 0.5000 0.5000 0.6662
O 0.0000 0.5000 0.0000
O 0.0000 0.5000 0.3453
O 0.0000 0.5000 0.6547
O 0.5000 0.0000 0.0000
O 0.5000 0.0000 0.3453
O 0.5000 0.0000 0.6547
O 0.5000 0.5000 0.1764
O 0.5000 0.5000 0.8236

Peak list (6 most intense, 10 to 90 degrees two-theta, low angle first)
d = 6.083 Å, 14.6°, rel. 34; d = 2.805 Å, 31.9°, rel. 100; d = 2.746 Å, 32.6°, rel. 40; d = 2.274 Å, 39.6°, rel. 21; d = 1.941 Å, 46.8°, rel. 34; d = 1.596 Å, 57.8°, rel. 36

Record 5
Starting from the GGA+U geometry in the Materials Project, the PXRD pattern of MgCu2Ni2O8 was computed for λ = 1.5418 Å (Cu Kα).
No peak broadening, texture or thermal motion is included.

Crystal structure
abc: 6.3552 8.2716 11.8362
angles: 90.00 90.95 90.00
Atoms (fractional coordinates):
Mg 0.1142 0.1576 0.0423
Mg 0.1142 0.3424 0.5423
Mg 0.8858 0.6576 0.4577
Mg 0.8858 0.8424 0.9577
Cu 0.2455 0.6893 0.6235
Cu 0.2455 0.8107 0.1235
Cu 0.3796 0.0619 0.6259
Cu 0.3796 0.4381 0.1259
Cu 0.6204 0.5619 0.8741
Cu 0.6204 0.9381 0.3741
Cu 0.7545 0.1893 0.8765
Cu 0.7545 0.3107 0.3765
Ni 0.0978 0.0354 0.3388
Ni 0.0978 0.4646 0.8388
Ni 0.3870 0.5892 0.3647
Ni 0.3870 0.9108 0.8647
Ni 0.6130 0.0892 0.1353
Ni 0.6130 0.4108 0.6353
Ni 0.9022 0.5354 0.1612
Ni 0.9022 0.9646 0.6612
O 0.0248 0.2365 0.3943
O 0.0248 0.2635 0.8943
O 0.0971 0.1156 0.6184
O 0.0971 0.3844 0.1184
O 0.1367 0.0282 0.1891
O 0.1367 0.4718 0.6891
O 0.1921 0.5762 0.4777
O 0.1921 0.9238 0.9777
O 0.3178 0.6241 0.2114
O 0.3178 0.8759 0.7114
O 0.3462 0.5160 0.9113
O 0.3462 0.9840 0.4113
O 0.4155 0.2291 0.0771
O 0.4155 0.2709 0.5771
O 0.4870 0.1179 0.8560
O 0.4870 0.3821 0.3560
O 0.5130 0.6179 0.6440
O 0.5130 0.8821 0.1440
O 0.5845 0.7291 0.4229
O 0.5845 0.7709 0.9229
O 0.6538 0.0160 0.5887
O 0.6538 0.4840 0.0887
O 0.6822 0.1241 0.2886
O 0.6822 0.3759 0.7886
O 0.8079 0.0762 0.0223
O 0.8079 0.4238 0.5223
O 0.8633 0.5282 0.3109
O 0.8633 0.9718 0.8109
O 0.9029 0.6156 0.8816
O 0.9029 0.8844 0.3816
O 0.9752 0.7365 0.1057
O 0.9752 0.7635 0.6057

Peak list (6 most intense, 10 to 90 degrees two-theta, low angle first)
d = 3.335 Å, 26.7°, rel. 39; d = 3.003 Å, 29.8°, rel. 31; d = 2.959 Å, 30.2°, rel. 100; d = 2.887 Å, 31.0°, rel. 38; d = 2.866 Å, 31.2°, rel. 74; d = 2.685 Å, 33.4°, rel. 31

Record 6
Starting from the GGA+U geometry in the Materials Project, the PXRD pattern of Li9Co7O16 was computed for λ = 1.5418 Å (Cu Kα).
No peak broadening, texture or thermal motion is included.

Crystal structure
abc: 10.2999 10.2999 9.8568
angles: 106.79 106.79 16.35
Atoms (fractional coordinates):
Li 0.0000 0.0000 0.0000
Li 0.0619 0.0619 0.3077
Li 0.1874 0.1874 0.9417
Li 0.3121 0.3121 0.5604
Li 0.4412 0.4412 0.1804
Li 0.5588 0.5588 0.8196
Li 0.6879 0.6879 0.4396
Li 0.8126 0.8126 0.0583
Li 0.9381 0.9381 0.6923
Co 0.1243 0.1243 0.6252
Co 0.2509 0.2509 0.2454
Co 0.3785 0.3785 0.8758
Co 0.5000 0.5000 0.5000
Co 0.6215 0.6215 0.1242
Co 0.7491 0.7491 0.7546
Co 0.8757 0.8757 0.3748
O 0.0336 0.0336 0.6514
O 0.0982 0.0982 0.9923
O 0.1561 0.1561 0.2613
O 0.2159 0.2159 0.5984
O 0.2847 0.2847 0.8983
O 0.3409 0.3409 0.2219
O 0.4100 0.4100 0.5223
O 0.4608 0.4608 0.8430
O 0.5392 0.5392 0.1570
O 0.5900 0.5900 0.4777
O 0.6591 0.6591 0.7781
O 0.7153 0.7153 0.1017
O 0.7841 0.7841 0.4016
O 0.8439 0.8439 0.7387
O 0.9018 0.9018 0.0077
O 0.9664 0.9664 0.3486

Peak list (6 most intense, 10 to 90 degrees two-theta, low angle first)
d = 4.832 Å, 18.4°, rel. 100; d = 2.493 Å, 36.0°, rel. 29; d = 2.085 Å, 43.4°, rel. 56; d = 2.023 Å, 44.8°, rel. 25; d = 1.462 Å, 63.7°, rel. 14; d = 1.442 Å, 64.6°, rel. 14